Record 1
For Nb2N, the GGA-PBE geometry in Alexandria gives the theoretical X-ray powder pattern in this record (copper Kα).

The 10 most intense peaks (2θ from 10° to 90°), sorted by position:
2θ (°), Rel. int., h k l
33.5, 18, 1 1 0
35.9, 23, 0 0 2
38.2, 100, 2 -1 1
49.9, 19, 1 1 2
60.0, 19, 3 0 0
66.0, 19, 1 1 3
71.9, 18, 3 0 2
73.4, 14, 2 2 1
76.0, 3, 0 0 4
81.7, 4, 4 -2 2

Atomic structure:
```
9
Lattice="5.343 0.000 0.000 -2.671 4.627 0.000 0.000 0.000 5.009" Properties=species:S:1:pos:R:3 pbc="T T T"
Nb -0.891 1.543 1.259
Nb -1.781 3.084 3.749
Nb 1.781 0.000 1.259
Nb 0.891 1.543 3.749
Nb 3.561 0.000 3.749
Nb 1.781 3.084 1.259
N 0.000 0.000 2.504
N 0.000 3.085 0.000
N 2.671 1.542 0.000
```

Record 2
For NaP3Ru4, the GGA-PBE geometry in Alexandria gives the theoretical X-ray powder pattern in this record (copper Kα).

The 10 most intense peaks (2θ from 10° to 90°), sorted by position:
2θ (°), Rel. int., h k l
11.7, 85, 0 0 1
23.5, 55, 0 0 2
31.6, 70, 1 1 0
33.8, 49, 1 1 1
35.5, 31, 0 0 3
39.8, 80, 1 1 2
45.3, 81, 2 0 0
48.3, 100, 1 1 3
58.9, 28, 2 0 3
85.9, 38, 3 1 3

Atomic structure:
```
8
Lattice="4.001 0.000 0.000 0.000 4.001 0.000 0.000 0.000 7.582" Properties=species:S:1:pos:R:3 pbc="T T T"
Na 0.000 0.000 0.000
P 0.000 0.000 3.791
P 2.000 2.000 1.235
P 2.000 2.000 6.347
Ru 0.000 2.000 2.396
Ru 0.000 2.000 5.186
Ru 2.000 0.000 2.396
Ru 2.000 0.000 5.186
```